1.
Y3Tm4Cu2Te2: theoretical PXRD pattern (Cu Kα, 1.54184 Å), based on a cell relaxed with PBE.
No peak broadening, texture or thermal motion is included.

```
Y3Tm4Cu2Te2
1.0
-1.977 7.713 4.750
1.977 -7.713 4.750
1.977 7.713 -4.750
Y Tm Cu Te
3 4 2 2
Direct
0.000 0.000 0.000 Y
0.615 0.259 0.356 Y
0.903 0.259 0.644 Y
0.283 0.413 0.870 Tm
0.304 0.619 0.685 Tm
0.543 0.413 0.130 Tm
0.934 0.619 0.315 Tm
0.167 0.928 0.239 Cu
0.689 0.928 0.761 Cu
0.264 0.764 0.500 Te
0.658 0.658 0.000 Te
```

Peak list (12 most intense, 2θ = 5–70°, sorted by position)
Position (°2θ)	d_spacing	Rel. int.
10.9	8.090	20.2
24.4	3.650	33.7
30.0	2.981	42.3
30.5	2.934	23.8
33.2	2.697	72.6
33.8	2.651	100.0
34.3	2.616	79.8
36.3	2.472	17.2
38.2	2.354	23.3
45.9	1.977	32.2
51.2	1.785	21.0
57.8	1.594	29.6

=====

2.
HoSi2TcAg: theoretical PXRD pattern (Cu Kα, 1.54184 Å), based on a cell relaxed with PBE.
No peak broadening, texture or thermal motion is included.

```
HoSi2TcAg
1.0
-2.051 2.051 5.169
2.051 -2.051 5.169
2.051 2.051 -5.169
Ho Si Tc Ag
1 2 1 1
Direct
0.000 0.000 0.000 Ho
0.385 0.385 0.000 Si
0.615 0.615 0.000 Si
0.250 0.750 0.500 Tc
0.750 0.250 0.500 Ag
```

Peak list (12 most intense, 2θ = 5–70°, sorted by position)
Position (°2θ)	d_spacing	Rel. int.
23.3	3.813	27.6
34.0	2.639	29.2
34.7	2.585	18.6
35.5	2.530	100.0
44.2	2.051	34.2
49.4	1.846	12.1
50.5	1.806	7.4
56.9	1.619	13.3
57.3	1.607	17.2
62.7	1.481	15.9
64.2	1.450	11.0
68.4	1.372	9.1